No. 1
Simulated powder diffraction line list of Er6TmIn4 for Cu Kα (weighted mean of Kα1 and Kα2), from a crystal structure in Alexandria, relaxed with PBE.
No peak broadening, texture or thermal motion is included.

Largest 6 diffraction maxima, most intense first, 10 to 90 degrees two-theta:
- 34.95 deg, I 100, hkl 1 1 4
- 27.92 deg, I 66, hkl 2 0 2
- 27.21 deg, I 43, hkl 2 1 1
- 33.19 deg, I 35, hkl 2 2 0
- 36.12 deg, I 31, hkl 3 0 1
- 54.91 deg, I 25, hkl 4 1 3

Cell lengths 7.635, 7.635, 11.677 Å; angles 90.00, 90.00, 90.00 degrees
Space group I-42m (No. 121)
Inequivalent atoms, fractional coordinates:
Er 0.000 0.500 0.000
Er 0.188 0.188 0.213
Tm 0.000 0.000 0.500
In 0.170 0.170 0.931

---

No. 2
Simulated powder diffraction line list of LiNd6In5 for Cu Kα (weighted mean of Kα1 and Kα2), from a crystal structure in Alexandria, relaxed with PBE.
No peak broadening, texture or thermal motion is included.

Largest 6 diffraction maxima, most intense first, 10 to 90 degrees two-theta:
- 32.78 deg, I 100, hkl 1 3 2
- 32.60 deg, I 51, hkl 2 0 0
- 58.29 deg, I 37, hkl 3 3 2
- 58.64 deg, I 18, hkl 2 0 4
- 46.77 deg, I 18, hkl 2 6 0
- 77.82 deg, I 12, hkl 4 6 0

Cell lengths 5.490, 16.494, 7.684 Å; angles 90.00, 90.00, 90.00 degrees
Space group Cmmm (No. 65)
Inequivalent atoms, fractional coordinates:
Li 0.000 0.000 0.000
Nd 0.000 0.168 0.247
Nd 0.000 0.500 0.252
In 0.000 0.000 0.500
In 0.000 0.333 0.500
In 0.000 0.341 0.000

---

No. 3
Simulated powder diffraction line list of Cs2AgH6Au for Cu Kα (weighted mean of Kα1 and Kα2), from a crystal structure in Alexandria, relaxed with PBE.
No peak broadening, texture or thermal motion is included.

Largest 6 diffraction maxima, most intense first, 10 to 90 degrees two-theta:
- 27.51 deg, I 100, hkl 1 1 2
- 28.59 deg, I 45, hkl 2 0 0
- 49.98 deg, I 39, hkl 3 1 2
- 47.97 deg, I 21, hkl 2 0 4
- 40.88 deg, I 18, hkl 2 2 0
- 56.80 deg, I 13, hkl 2 2 4

Cell lengths 6.244, 6.244, 9.551 Å; angles 90.00, 90.00, 90.00 degrees
Space group I4/mmm (No. 139)
Inequivalent atoms, fractional coordinates:
Cs 0.000 0.500 0.250
Ag 0.000 0.000 0.000
H 0.000 0.000 0.179
H 0.188 0.188 0.500
Au 0.000 0.000 0.500

---

No. 4
Simulated powder diffraction line list of Tm7TlAu4 for Cu Kα (weighted mean of Kα1 and Kα2), from a crystal structure in Alexandria, relaxed with PBE.
No peak broadening, texture or thermal motion is included.

Largest 6 diffraction maxima, most intense first, 10 to 90 degrees two-theta:
- 32.34 deg, I 100, hkl 0 2 0
- 35.47 deg, I 84, hkl 3 1 1
- 37.54 deg, I 55, hkl 5 1 -3
- 29.55 deg, I 45, hkl 4 0 -3
- 31.68 deg, I 37, hkl 3 1 -3
- 37.41 deg, I 35, hkl 2 0 -4

Cell lengths 13.928, 5.536, 9.974 Å; angles 90.00, 125.62, 90.00 degrees
Space group C2/m (No. 12)
Inequivalent atoms, fractional coordinates:
Tm 0.000 0.000 0.000
Tm 0.064 0.500 0.357
Tm 0.180 0.000 0.618
Tm 0.215 0.500 0.879
Tl 0.000 0.500 0.000
Au 0.066 0.000 0.774
Au 0.208 0.000 0.341

---

No. 5
Simulated powder diffraction line list of Pr2Nd4HoSc for Cu Kα (weighted mean of Kα1 and Kα2), from a crystal structure in Alexandria, relaxed with PBE.
No peak broadening, texture or thermal motion is included.

Largest 6 diffraction maxima, most intense first, 10 to 90 degrees two-theta:
- 30.26 deg, I 100, hkl 1 1 2
- 35.17 deg, I 33, hkl 2 0 0
- 50.40 deg, I 24, hkl 2 2 0
- 34.91 deg, I 17, hkl 0 2 0
- 59.75 deg, I 14, hkl 1 3 2
- 60.03 deg, I 14, hkl 3 1 2

Cell lengths 5.110, 5.140, 10.193 Å; angles 90.00, 90.07, 90.00 degrees
Space group P2/m (No. 10)
Inequivalent atoms, fractional coordinates:
Pr 0.000 0.000 0.000
Pr 0.500 0.500 0.500
Nd 0.000 0.500 0.245
Nd 0.500 0.000 0.246
Ho 0.000 0.000 0.500
Sc 0.500 0.500 0.000

---

No. 6
Simulated powder diffraction line list of Sr3CaN2Cl2 for Cu Kα (weighted mean of Kα1 and Kα2), from a crystal structure in Alexandria, relaxed with PBE.
No peak broadening, texture or thermal motion is included.

Largest 6 diffraction maxima, most intense first, 10 to 90 degrees two-theta:
- 31.76 deg, I 100, hkl 2 0 2
- 28.06 deg, I 39, hkl 2 0 -2
- 47.19 deg, I 37, hkl 0 2 0
- 34.30 deg, I 31, hkl 3 1 1
- 62.48 deg, I 20, hkl 6 2 0
- 43.83 deg, I 20, hkl 5 1 1

Cell lengths 14.201, 3.850, 6.674 Å; angles 90.00, 98.95, 90.00 degrees
Space group Cm (No. 8)
Inequivalent atoms, fractional coordinates:
Sr 0.000 0.000 0.000
Sr 0.002 0.500 0.498
Sr 0.195 0.000 0.732
Ca 0.184 0.500 0.224
N 0.098 0.500 0.871
N 0.100 0.000 0.359
Cl 0.341 0.000 0.121
Cl 0.345 0.500 0.606

---

No. 7
Simulated powder diffraction line list of Pr4Nd5Ho for Cu Kα (weighted mean of Kα1 and Kα2), from a crystal structure in Alexandria, relaxed with PBE.
No peak broadening, texture or thermal motion is included.

Largest 6 diffraction maxima, most intense first, 10 to 90 degrees two-theta:
- 28.84 deg, I 100, hkl 3 0 1
- 30.01 deg, I 46, hkl 3 1 1
- 31.34 deg, I 34, hkl 1 0 2
- 34.93 deg, I 32, hkl 3 3 0
- 52.12 deg, I 29, hkl 4 3 2
- 27.63 deg, I 21, hkl 2 2 1

Cell lengths 10.899, 10.899, 5.915 Å; angles 90.00, 90.00, 90.00 degrees
Space group P4/nmm (No. 129, origin choice 2)
Inequivalent atoms, fractional coordinates:
Pr 0.045 0.750 0.131
Nd 0.089 0.089 0.337
Nd 0.250 0.750 0.500
Ho 0.250 0.250 0.857

---

No. 8
Simulated powder diffraction line list of Ac6SmHo for Cu Kα (weighted mean of Kα1 and Kα2), from a crystal structure in Alexandria, relaxed with PBE.
No peak broadening, texture or thermal motion is included.

Largest 6 diffraction maxima, most intense first, 10 to 90 degrees two-theta:
- 29.37 deg, I 100, hkl 5 1 -1
- 28.11 deg, I 30, hkl 0 2 0
- 27.70 deg, I 26, hkl 2 0 -2
- 50.54 deg, I 23, hkl 5 3 -1
- 39.87 deg, I 20, hkl 2 2 -2
- 50.04 deg, I 17, hkl 7 1 -3

Cell lengths 17.646, 6.349, 6.442 Å; angles 90.00, 111.38, 90.00 degrees
Space group C2/m (No. 12)
Inequivalent atoms, fractional coordinates:
Ac 0.117 0.000 0.146
Ac 0.118 0.500 0.587
Ac 0.249 0.500 0.208
Sm 0.000 0.000 0.500
Ho 0.000 0.500 0.000

---

No. 9
Simulated powder diffraction line list of KNiPdS2 for Cu Kα (weighted mean of Kα1 and Kα2), from a crystal structure in Alexandria, relaxed with PBE.
No peak broadening, texture or thermal motion is included.

Largest 6 diffraction maxima, most intense first, 10 to 90 degrees two-theta:
- 15.18 deg, I 100, hkl 0 2 0
- 29.67 deg, I 50, hkl 0 2 2
- 38.92 deg, I 39, hkl 2 2 1
- 31.05 deg, I 28, hkl 1 3 1
- 47.67 deg, I 24, hkl 2 4 1
- 30.63 deg, I 21, hkl 0 4 0

Cell lengths 5.401, 11.674, 7.030 Å; angles 90.00, 90.00, 90.00 degrees
Space group Cmme (No. 67)
Inequivalent atoms, fractional coordinates:
K 0.000 0.250 0.235
Ni 0.250 0.000 0.000
Pd 0.000 0.000 0.500
S 0.000 0.085 0.795

---

No. 10
Simulated powder diffraction line list of NaCa2VH for Cu Kα (weighted mean of Kα1 and Kα2), from a crystal structure in Alexandria, relaxed with PBE.
No peak broadening, texture or thermal motion is included.

Largest 6 diffraction maxima, most intense first, 10 to 90 degrees two-theta:
- 31.57 deg, I 100, hkl 1 1 1
- 35.34 deg, I 38, hkl 2 0 0
- 61.09 deg, I 26, hkl 3 1 1
- 53.67 deg, I 20, hkl 2 0 2
- 39.04 deg, I 14, hkl 0 0 2
- 50.85 deg, I 12, hkl 2 2 0

Cell lengths 5.079, 5.079, 4.615 Å; angles 90.00, 90.00, 90.00 degrees
Space group P4/mmm (No. 123)
Inequivalent atoms, fractional coordinates:
Na 0.000 0.000 0.000
Ca 0.000 0.500 0.500
V 0.500 0.500 0.000
H 0.000 0.000 0.500

---

No. 11
Simulated powder diffraction line list of Rb2HoHgCl6 for Cu Kα (weighted mean of Kα1 and Kα2), from a crystal structure in Alexandria, relaxed with PBE.
No peak broadening, texture or thermal motion is included.

Largest 6 diffraction maxima, most intense first, 10 to 90 degrees two-theta:
- 22.58 deg, I 100, hkl 1 2 1
- 31.97 deg, I 49, hkl 2 0 2
- 15.83 deg, I 41, hkl 1 0 1
- 46.09 deg, I 30, hkl 2 4 2
- 40.46 deg, I 27, hkl 3 2 1
- 32.31 deg, I 27, hkl 0 4 0

Cell lengths 7.650, 11.083, 8.215 Å; angles 90.00, 90.00, 90.00 degrees
Space group Pmmn (No. 59, origin choice 2)
Inequivalent atoms, fractional coordinates:
Rb 0.250 0.029 0.201
Ho 0.250 0.750 0.777
Hg 0.250 0.250 0.715
Cl 0.004 0.250 0.437
Cl 0.010 0.750 0.008
Cl 0.250 0.513 0.786

---

No. 12
Simulated powder diffraction line list of Ho4SnPbSe2 for Cu Kα (weighted mean of Kα1 and Kα2), from a crystal structure in Alexandria, relaxed with PBE.
No peak broadening, texture or thermal motion is included.

Largest 6 diffraction maxima, most intense first, 10 to 90 degrees two-theta:
- 29.77 deg, I 100, hkl 1 1 1
- 42.27 deg, I 38, hkl 2 0 2
- 42.98 deg, I 25, hkl 3 1 -1
- 69.64 deg, I 17, hkl 3 1 3
- 53.09 deg, I 13, hkl 2 2 -2
- 61.84 deg, I 13, hkl 2 2 2

Cell lengths 7.284, 4.218, 7.445 Å; angles 90.00, 109.06, 90.00 degrees
Space group P2/m (No. 10)
Inequivalent atoms, fractional coordinates:
Ho 0.244 0.000 0.239
Ho 0.250 0.500 0.759
Sn 0.000 0.000 0.500
Pb 0.500 0.500 0.500
Se 0.000 0.500 0.000
Se 0.500 0.000 0.000

---

Please write out number 7 again, unchanged.
Simulated powder diffraction line list of Pr4Nd5Ho for Cu Kα (weighted mean of Kα1 and Kα2), from a crystal structure in Alexandria, relaxed with PBE.
No peak broadening, texture or thermal motion is included.

Largest 6 diffraction maxima, most intense first, 10 to 90 degrees two-theta:
- 28.84 deg, I 100, hkl 3 0 1
- 30.01 deg, I 46, hkl 3 1 1
- 31.34 deg, I 34, hkl 1 0 2
- 34.93 deg, I 32, hkl 3 3 0
- 52.12 deg, I 29, hkl 4 3 2
- 27.63 deg, I 21, hkl 2 2 1

Cell lengths 10.899, 10.899, 5.915 Å; angles 90.00, 90.00, 90.00 degrees
Space group P4/nmm (No. 129, origin choice 2)
Inequivalent atoms, fractional coordinates:
Pr 0.045 0.750 0.131
Nd 0.089 0.089 0.337
Nd 0.250 0.750 0.500
Ho 0.250 0.250 0.857